For Tb2Nd5Rh4, a structure optimized by DFT (GGA-PBE) gives the computed powder XRD pattern in this record (Cu Kα).
Peak positions follow from Bragg's law for the DFT cell and can differ from measured ones.

Crystal structure
```
data_Tb2Nd5Rh4
_space_group_name_H-M_alt 'C 1 2/m 1'
_space_group_IT_number 12
_space_group_name_Hall '-C 2y'
_cell_length_a 23.5382
_cell_length_b 3.8402
_cell_length_c 7.1375
_cell_angle_alpha 90.00
_cell_angle_beta 107.56
_cell_angle_gamma 90.00
loop_
_atom_site_label
_atom_site_type_symbol
_atom_site_fract_x
_atom_site_fract_y
_atom_site_fract_z
_atom_site_occupancy
Tb1 Tb 0.2367 0.0000 0.2596 1
Nd1 Nd 0.0000 0.0000 0.5000 1
Nd2 Nd 0.1206 0.5000 0.3689 1
Nd3 Nd 0.1264 0.5000 0.8902 1
Rh1 Rh 0.0017 0.5000 0.8100 1
Rh2 Rh 0.0671 0.0000 0.0670 1
```

Principal peaks in the range 2θ from 10° to 80°, in order of falling intensity:
- 34.5°, intensity 100, (3 1 -2)
- 29.7°, intensity 57, (2 0 2)
- 35.8°, intensity 46, (5 1 1)
- 36.5°, intensity 33, (7 1 0)
- 31.9°, intensity 33, (8 0 0)
- 27.5°, intensity 31, (1 1 1)

For Sr8Br3N4, a structure optimized by DFT (GGA-PBE) gives the computed powder XRD pattern in this record (Cu Kα).
Peak positions follow from Bragg's law for the DFT cell and can differ from measured ones.

Crystal structure
```
data_Sr8Br3N4
_space_group_name_H-M_alt 'C 1 2/m 1'
_space_group_IT_number 12
_space_group_name_Hall '-C 2y'
_cell_length_a 11.6121
_cell_length_b 11.7048
_cell_length_c 8.0944
_cell_angle_alpha 90.00
_cell_angle_beta 133.32
_cell_angle_gamma 90.00
loop_
_atom_site_label
_atom_site_type_symbol
_atom_site_fract_x
_atom_site_fract_y
_atom_site_fract_z
_atom_site_occupancy
Sr1 Sr 0.0000 0.2248 0.0000 1
Sr2 Sr 0.0000 0.2283 0.5000 1
Sr3 Sr 0.1864 0.0000 0.9314 1
Sr4 Sr 0.2273 0.0000 0.4696 1
Br1 Br 0.0000 0.5000 0.0000 1
Br2 Br 0.2500 0.2500 0.0000 1
N1 N 0.0000 0.0000 0.0000 1
N2 N 0.0000 0.0000 0.5000 1
N3 N 0.2500 0.2500 0.5000 1
```

Principal peaks in the range 2θ from 10° to 80°, in order of falling intensity:
- 30.6°, intensity 100, (0 4 0)
- 30.8°, intensity 100, (4 0 -2)
- 30.4°, intensity 99, (0 0 2)
- 44.0°, intensity 64, (4 4 -2)
- 43.6°, intensity 62, (0 4 2)
- 26.8°, intensity 46, (2 2 -2)

For Pr7AuI12, a structure optimized by DFT (GGA-PBE) gives the computed powder XRD pattern in this record (Cu Kα).
Peak positions follow from Bragg's law for the DFT cell and can differ from measured ones.

Crystal structure
```
data_Pr7AuI12
_space_group_name_H-M_alt 'R -3'
_space_group_IT_number 148
_space_group_name_Hall '-R 3'
_cell_length_a 16.3472
_cell_length_b 16.3472
_cell_length_c 10.8180
_cell_angle_alpha 90.00
_cell_angle_beta 90.00
_cell_angle_gamma 120.00
loop_
_atom_site_label
_atom_site_type_symbol
_atom_site_fract_x
_atom_site_fract_y
_atom_site_fract_z
_atom_site_occupancy
Pr1 Pr 0.0000 0.0000 0.0000 1
Pr2 Pr 0.0457 0.1636 0.3406 1
Au1 Au 0.0000 0.0000 0.5000 1
I1 I 0.0243 0.5869 0.1640 1
I2 I 0.0522 0.1872 0.8433 1
```

Principal peaks in the range 2θ from 10° to 80°, in order of falling intensity:
- 28.1°, intensity 100, (3 1 2)
- 40.5°, intensity 37, (4 -3 4)
- 39.8°, intensity 37, (2 5 0)
- 10.8°, intensity 24, (1 1 0)
- 49.4°, intensity 19, (8 -6 2)
- 65.2°, intensity 16, (5 6 2)

For TlAsS3, a structure optimized by DFT (GGA-PBE) gives the computed powder XRD pattern in this record (Cu Kα).
Peak positions follow from Bragg's law for the DFT cell and can differ from measured ones.

Crystal structure
```
data_TlAsS3
_space_group_name_H-M_alt 'C m c e'
_space_group_IT_number 64
_space_group_name_Hall '-C 2ac 2'
_cell_length_a 13.6368
_cell_length_b 9.7562
_cell_length_c 8.7762
_cell_angle_alpha 90.00
_cell_angle_beta 90.00
_cell_angle_gamma 90.00
loop_
_atom_site_label
_atom_site_type_symbol
_atom_site_fract_x
_atom_site_fract_y
_atom_site_fract_z
_atom_site_occupancy
Tl1 Tl 0.2500 0.0580 0.2500 1
As1 As 0.0000 0.1613 0.0104 1
S1 S 0.0000 0.0087 0.8093 1
S2 S 0.1379 0.2349 0.5215 1
```

Principal peaks in the range 2θ from 10° to 80°, in order of falling intensity:
- 24.1°, intensity 100, (2 0 2)
- 27.3°, intensity 96, (0 2 2)
- 24.6°, intensity 57, (2 2 1)
- 38.2°, intensity 47, (2 2 3)
- 26.1°, intensity 43, (4 0 0)
- 20.8°, intensity 43, (0 2 1)

For NpOF4, a structure optimized by DFT (GGA-PBE) gives the computed powder XRD pattern in this record (Cu Kα).
Peak positions follow from Bragg's law for the DFT cell and can differ from measured ones.

Crystal structure
```
data_NpOF4
_space_group_name_H-M_alt 'I 4/m'
_space_group_IT_number 87
_space_group_name_Hall '-I 4'
_cell_length_a 7.2174
_cell_length_b 7.2174
_cell_length_c 4.1120
_cell_angle_alpha 90.00
_cell_angle_beta 90.00
_cell_angle_gamma 90.00
loop_
_atom_site_label
_atom_site_type_symbol
_atom_site_fract_x
_atom_site_fract_y
_atom_site_fract_z
_atom_site_occupancy
Np1 Np 0.0000 0.0000 0.0000 1
O1 O 0.0000 0.0000 0.5000 1
F1 F 0.0875 0.7350 0.0000 1
```

Principal peaks in the range 2θ from 10° to 80°, in order of falling intensity:
- 17.4°, intensity 100, (1 1 0)
- 24.9°, intensity 88, (1 0 1)
- 35.4°, intensity 41, (2 1 1)
- 24.7°, intensity 39, (2 0 0)
- 39.5°, intensity 31, (3 1 0)
- 50.7°, intensity 23, (3 2 1)

For K2PuGeS4, a structure optimized by DFT (GGA-PBE) gives the computed powder XRD pattern in this record (Cu Kα).
Peak positions follow from Bragg's law for the DFT cell and can differ from measured ones.

Crystal structure
```
data_K2PuGeS4
_space_group_name_H-M_alt 'I m m a'
_space_group_IT_number 74
_space_group_name_Hall '-I 2b 2'
_cell_length_a 8.3116
_cell_length_b 8.3929
_cell_length_c 11.7193
_cell_angle_alpha 90.00
_cell_angle_beta 90.00
_cell_angle_gamma 90.00
loop_
_atom_site_label
_atom_site_type_symbol
_atom_site_fract_x
_atom_site_fract_y
_atom_site_fract_z
_atom_site_occupancy
K1 K 0.0000 0.0000 0.0000 1
K2 K 0.2500 0.2500 0.2500 1
Pu1 Pu 0.2500 0.2500 0.7500 1
Ge1 Ge 0.0000 0.0000 0.5000 1
S1 S 0.0000 0.0370 0.7346 1
S2 S 0.2196 0.2500 0.5229 1
```

Principal peaks in the range 2θ from 10° to 80°, in order of falling intensity:
- 13.0°, intensity 100, (0 1 1)
- 30.3°, intensity 75, (2 2 0)
- 43.5°, intensity 63, (4 0 0)
- 25.1°, intensity 44, (2 1 1)
- 30.5°, intensity 36, (0 0 4)
- 26.1°, intensity 29, (0 2 2)

For Mn2Tl14Se9, a structure optimized by DFT (GGA-PBE) gives the computed powder XRD pattern in this record (Cu Kα).
Peak positions follow from Bragg's law for the DFT cell and can differ from measured ones.

Crystal structure
```
data_Mn2Tl14Se9
_space_group_name_H-M_alt 'P -3'
_space_group_IT_number 147
_space_group_name_Hall '-P 3'
_cell_length_a 9.2799
_cell_length_b 9.2799
_cell_length_c 10.9374
_cell_angle_alpha 90.00
_cell_angle_beta 90.00
_cell_angle_gamma 120.00
loop_
_atom_site_label
_atom_site_type_symbol
_atom_site_fract_x
_atom_site_fract_y
_atom_site_fract_z
_atom_site_occupancy
Mn1 Mn 0.3333 0.6667 0.2888 1
Tl1 Tl 0.0000 0.0000 0.2985 1
Tl2 Tl 0.0080 0.6662 0.9010 1
Tl3 Tl 0.0900 0.4284 0.6412 1
Se1 Se 0.0000 0.0000 0.0000 1
Se2 Se 0.1185 0.3832 0.3707 1
Se3 Se 0.3333 0.6667 0.0580 1
```

Principal peaks in the range 2θ from 10° to 80°, in order of falling intensity:
- 25.2°, intensity 100, (1 1 2)
- 33.4°, intensity 55, (3 0 0)
- 30.5°, intensity 48, (3 -1 1)
- 29.4°, intensity 39, (1 2 0)
- 38.6°, intensity 35, (1 2 3)
- 38.2°, intensity 26, (2 -1 4)

For Tb4Er8Tm, a structure optimized by DFT (GGA-PBE) gives the computed powder XRD pattern in this record (Cu Kα).
Peak positions follow from Bragg's law for the DFT cell and can differ from measured ones.

Crystal structure
```
data_Tb4Er8Tm
_space_group_name_H-M_alt 'R -3 m'
_space_group_IT_number 166
_space_group_name_Hall '-R 3 2"'
_cell_length_a 7.2162
_cell_length_b 7.2162
_cell_length_c 27.0658
_cell_angle_alpha 90.00
_cell_angle_beta 90.00
_cell_angle_gamma 120.00
loop_
_atom_site_label
_atom_site_type_symbol
_atom_site_fract_x
_atom_site_fract_y
_atom_site_fract_z
_atom_site_occupancy
Tb1 Tb 0.0000 0.0000 0.0000 1
Tb2 Tb 0.0000 0.5000 0.0000 1
Er1 Er 0.0000 0.0000 0.2152 1
Er2 Er 0.0353 0.5176 0.7675 1
Tm1 Tm 0.0000 0.0000 0.5000 1
```

Principal peaks in the range 2θ from 10° to 80°, in order of falling intensity:
- 31.5°, intensity 100, (0 2 4)
- 33.1°, intensity 39, (2 0 5)
- 50.6°, intensity 31, (2 2 0)
- 39.2°, intensity 29, (2 0 8)
- 29.7°, intensity 29, (0 0 9)
- 59.8°, intensity 21, (2 2 9)